(1)
Structure and theoretical powder diffractogram of LaSi2Ag (a DFT-relaxed cell (PBE, Alexandria); Cu Kα (λ = 1.5418 Å)).

Cell and atoms:
```
data_LaSi2Ag
_space_group_name_H-M_alt 'C m c m'
_space_group_IT_number 63
_space_group_name_Hall '-C 2c 2'
_cell_length_a 4.3491
_cell_length_b 17.6863
_cell_length_c 4.2749
_cell_angle_alpha 90.00
_cell_angle_beta 90.00
_cell_angle_gamma 90.00
loop_
_atom_site_label
_atom_site_fract_x
_atom_site_fract_y
_atom_site_fract_z
La1 0.0000 0.0980 0.2500
Si1 0.0000 0.3341 0.2500
Si2 0.0000 0.4668 0.2500
Ag1 0.0000 0.2478 0.7500
```

Peak list (12 most intense, 2θ from 10° to 90°, sorted by position)
2θ 10.00, rel. 17; 2θ 21.04, rel. 11; 2θ 23.11, rel. 14; 2θ 30.32, rel. 17; 2θ 32.63, rel. 19; 2θ 33.08, rel. 100; 2θ 39.00, rel. 10; 2θ 41.53, rel. 18; 2θ 42.28, rel. 17; 2θ 60.76, rel. 11; 2θ 70.42, rel. 11; 2θ 71.48, rel. 10

***

(2)
Structure and theoretical powder diffractogram of Ce5BiPb2 (a DFT-relaxed cell (PBE, Alexandria); Cu Kα (λ = 1.5418 Å)).

Cell and atoms:
```
data_Ce5BiPb2
_space_group_name_H-M_alt 'P b a m'
_space_group_IT_number 55
_cell_length_a 6.5927
_cell_length_b 12.3626
_cell_length_c 5.7786
_cell_angle_alpha 90.00
_cell_angle_beta 90.00
_cell_angle_gamma 90.00
loop_
_space_group_symop_operation_xyz
'x,y,z'
'-x,-y,-z'
'-x,-y,z'
'x,y,-z'
'x+1/2,-y+1/2,-z'
'-x+1/2,y+1/2,z'
'-x+1/2,y+1/2,-z'
'x+1/2,-y+1/2,z'
loop_
_atom_site_label
_atom_site_fract_x
_atom_site_fract_y
_atom_site_fract_z
Ce1 0.0000 0.0000 0.0000
Ce2 0.0993 0.4055 0.5000
Ce3 0.1890 0.7545 0.0000
Bi1 0.0000 0.5000 0.0000
Pb1 0.0917 0.1420 0.5000
```

Peak list (12 most intense, 2θ from 10° to 90°, sorted by position)
2θ 25.49, rel. 15; 2θ 30.74, rel. 25; 2θ 30.95, rel. 70; 2θ 32.09, rel. 60; 2θ 32.86, rel. 100; 2θ 34.52, rel. 37; 2θ 34.85, rel. 23; 2θ 44.18, rel. 18; 2θ 47.29, rel. 19; 2θ 55.77, rel. 13; 2θ 56.27, rel. 37; 2θ 58.20, rel. 12

***

(3)
Structure and theoretical powder diffractogram of NaHg4Pd2 (a DFT-relaxed cell (PBE, Alexandria); Cu Kα (λ = 1.5418 Å)).

Cell and atoms:
```
data_NaHg4Pd2
_space_group_name_H-M_alt 'C m c m'
_space_group_IT_number 63
_space_group_name_Hall '-C 2c 2'
_cell_length_a 4.8785
_cell_length_b 8.4441
_cell_length_c 14.1358
_cell_angle_alpha 90.00
_cell_angle_beta 90.00
_cell_angle_gamma 90.00
loop_
_atom_site_label
_atom_site_fract_x
_atom_site_fract_y
_atom_site_fract_z
Na1 0.0000 0.0006 0.2500
Hg1 0.0000 0.0000 0.0000
Hg2 0.0000 0.3329 0.6397
Hg3 0.0000 0.3340 0.2500
Pd1 0.0000 0.3335 0.0544
```

Peak list (12 most intense, 2θ from 10° to 90°, sorted by position)
2θ 21.03, rel. 13; 2θ 24.55, rel. 26; 2θ 28.38, rel. 12; 2θ 33.05, rel. 21; 2θ 36.86, rel. 100; 2θ 38.31, rel. 78; 2θ 54.21, rel. 20; 2θ 54.23, rel. 10; 2θ 65.20, rel. 10; 2θ 66.40, rel. 18; 2θ 67.37, rel. 30; 2θ 78.44, rel. 11

***

(4)
Structure and theoretical powder diffractogram of Y3AlTl3Te8 (a DFT-relaxed cell (PBE, Alexandria); Cu Kα (λ = 1.5418 Å)).

Cell and atoms:
```
data_Y3AlTl3Te8
_space_group_name_H-M_alt 'P -1'
_space_group_IT_number 2
_cell_length_a 8.7241
_cell_length_b 8.7307
_cell_length_c 9.5940
_cell_angle_alpha 62.96
_cell_angle_beta 62.98
_cell_angle_gamma 60.04
loop_
_space_group_symop_operation_xyz
'x,y,z'
'-x,-y,-z'
loop_
_atom_site_label
_atom_site_fract_x
_atom_site_fract_y
_atom_site_fract_z
Y1 0.0000 0.0000 0.0000
Y2 0.0000 0.5000 0.0000
Y3 0.5000 0.0000 0.0000
Al1 0.5000 0.5000 0.0000
Tl1 0.0000 0.5000 0.5000
Tl2 0.5000 0.0000 0.5000
Tl3 0.5000 0.5000 0.5000
Te1 0.2390 0.2393 0.7827
Te2 0.2572 0.7223 0.7984
Te3 0.2779 0.2777 0.2016
Te4 0.2780 0.7425 0.2015
```

Peak list (12 most intense, 2θ from 10° to 90°, sorted by position)
2θ 12.25, rel. 9; 2θ 13.77, rel. 10; 2θ 27.73, rel. 100; 2θ 29.85, rel. 14; 2θ 37.81, rel. 35; 2θ 41.37, rel. 35; 2θ 50.54, rel. 18; 2θ 53.83, rel. 9; 2θ 57.28, rel. 10; 2θ 62.26, rel. 11; 2θ 67.30, rel. 15; 2θ 73.09, rel. 9

***

(5)
Structure and theoretical powder diffractogram of Sm4SbTe3 (a DFT-relaxed cell (PBE, Alexandria); Cu Kα (λ = 1.5418 Å)).

Cell and atoms:
```
data_Sm4SbTe3
_space_group_name_H-M_alt 'C m m m'
_space_group_IT_number 65
_space_group_name_Hall '-C 2 2'
_cell_length_a 8.9496
_cell_length_b 12.5958
_cell_length_c 4.4356
_cell_angle_alpha 90.00
_cell_angle_beta 90.00
_cell_angle_gamma 90.00
loop_
_atom_site_label
_atom_site_fract_x
_atom_site_fract_y
_atom_site_fract_z
Sm1 0.0000 0.2450 0.0000
Sm2 0.2416 0.0000 0.5000
Sb1 0.0000 0.0000 0.0000
Te1 0.0000 0.5000 0.0000
Te2 0.2500 0.2500 0.5000
```

Peak list (12 most intense, 2θ from 10° to 90°, sorted by position)
2θ 28.33, rel. 100; 2θ 40.31, rel. 13; 2θ 40.50, rel. 51; 2θ 40.68, rel. 13; 2θ 50.01, rel. 14; 2θ 50.32, rel. 14; 2θ 58.62, rel. 13; 2θ 66.09, rel. 6; 2θ 66.37, rel. 23; 2θ 66.62, rel. 6; 2θ 73.41, rel. 8; 2θ 73.92, rel. 9

***

(6)
Structure and theoretical powder diffractogram of TcCl4 (a DFT-relaxed cell (PBE, Alexandria); Cu Kα (λ = 1.5418 Å)).

Cell and atoms:
```
data_TcCl4
_space_group_name_H-M_alt 'P b c a'
_space_group_IT_number 61
_cell_length_a 6.1481
_cell_length_b 13.0526
_cell_length_c 15.4044
_cell_angle_alpha 90.00
_cell_angle_beta 90.00
_cell_angle_gamma 90.00
loop_
_space_group_symop_operation_xyz
'x,y,z'
'-x,-y,-z'
'-x+1/2,-y,z+1/2'
'x+1/2,y,-z+1/2'
'x+1/2,-y+1/2,-z'
'-x+1/2,y+1/2,z'
'-x,y+1/2,-z+1/2'
'x,-y+1/2,z+1/2'
loop_
_atom_site_label
_atom_site_fract_x
_atom_site_fract_y
_atom_site_fract_z
Tc1 0.1036 0.1283 0.1841
Cl1 0.0371 0.7369 0.4154
Cl2 0.0727 0.7304 0.1973
Cl3 0.2203 0.5263 0.3030
Cl4 0.2448 0.0195 0.0849
```

Peak list (12 most intense, 2θ from 10° to 90°, sorted by position)
2θ 11.49, rel. 50; 2θ 14.74, rel. 100; 2θ 18.46, rel. 14; 2θ 19.69, rel. 21; 2θ 23.58, rel. 14; 2θ 30.62, rel. 22; 2θ 32.17, rel. 19; 2θ 34.35, rel. 22; 2θ 39.03, rel. 10; 2θ 44.44, rel. 9; 2θ 47.19, rel. 9; 2θ 50.44, rel. 12

***

(7)
Structure and theoretical powder diffractogram of LaY2Er2Tm (a DFT-relaxed cell (PBE, Alexandria); Cu Kα (λ = 1.5418 Å)).

Cell and atoms:
```
data_LaY2Er2Tm
_space_group_name_H-M_alt 'P n n m'
_space_group_IT_number 58
_cell_length_a 6.9116
_cell_length_b 16.0877
_cell_length_c 3.5339
_cell_angle_alpha 90.00
_cell_angle_beta 90.00
_cell_angle_gamma 90.00
loop_
_space_group_symop_operation_xyz
'x,y,z'
'-x,-y,-z'
'-x,-y,z'
'x,y,-z'
'x+1/2,-y+1/2,-z+1/2'
'-x+1/2,y+1/2,z+1/2'
'-x+1/2,y+1/2,-z+1/2'
'x+1/2,-y+1/2,z+1/2'
loop_
_atom_site_label
_atom_site_fract_x
_atom_site_fract_y
_atom_site_fract_z
La1 0.0000 0.0000 0.0000
Y1 0.2489 0.1615 0.5000
Er1 0.2466 0.3473 0.0000
Tm1 0.0000 0.5000 0.5000
```

Peak list (12 most intense, 2θ from 10° to 90°, sorted by position)
2θ 16.91, rel. 13; 2θ 28.10, rel. 46; 2θ 30.29, rel. 100; 2θ 33.42, rel. 35; 2θ 34.21, rel. 50; 2θ 36.80, rel. 64; 2θ 46.33, rel. 15; 2θ 54.53, rel. 31; 2θ 57.80, rel. 12; 2θ 62.27, rel. 25; 2θ 63.50, rel. 17; 2θ 88.31, rel. 13

***

(8)
Structure and theoretical powder diffractogram of La3Ce4Sn4 (a DFT-relaxed cell (PBE, Alexandria); Cu Kα (λ = 1.5418 Å)).

Cell and atoms:
```
data_La3Ce4Sn4
_space_group_name_H-M_alt 'I -4 3 m'
_space_group_IT_number 217
_space_group_name_Hall 'I -4 2 3'
_cell_length_a 9.2695
_cell_length_b 9.2695
_cell_length_c 9.2695
_cell_angle_alpha 90.00
_cell_angle_beta 90.00
_cell_angle_gamma 90.00
loop_
_atom_site_label
_atom_site_fract_x
_atom_site_fract_y
_atom_site_fract_z
La1 0.0000 0.0000 0.5000
Ce1 0.1210 0.1210 0.1210
Sn1 0.1971 0.1971 0.8029
```

Peak list (12 most intense, 2θ from 10° to 90°, sorted by position)
2θ 13.51, rel. 44; 2θ 27.21, rel. 100; 2θ 30.50, rel. 84; 2θ 36.26, rel. 74; 2θ 41.32, rel. 61; 2θ 45.92, rel. 20; 2θ 48.09, rel. 24; 2θ 56.13, rel. 26; 2θ 61.68, rel. 28; 2θ 66.96, rel. 25; 2θ 72.04, rel. 20; 2θ 75.35, rel. 23

***

(9)
Structure and theoretical powder diffractogram of La2Zn5Cu5 (a DFT-relaxed cell (PBE, Alexandria); Cu Kα (λ = 1.5418 Å)).

Cell and atoms:
```
data_La2Zn5Cu5
_space_group_name_H-M_alt 'P m m m'
_space_group_IT_number 47
_cell_length_a 4.2137
_cell_length_b 5.3304
_cell_length_c 9.1689
_cell_angle_alpha 90.00
_cell_angle_beta 90.00
_cell_angle_gamma 90.00
loop_
_space_group_symop_operation_xyz
'x,y,z'
'-x,-y,-z'
'-x,-y,z'
'x,y,-z'
'x,-y,-z'
'-x,y,z'
'-x,y,-z'
'x,-y,z'
loop_
_atom_site_label
_atom_site_fract_x
_atom_site_fract_y
_atom_site_fract_z
La1 0.0000 0.0000 0.0000
La2 0.0000 0.5000 0.5000
Zn1 0.5000 0.0000 0.5000
Zn2 0.5000 0.2520 0.2456
Cu1 0.0000 0.0000 0.3325
Cu2 0.0000 0.5000 0.1616
Cu3 0.5000 0.5000 0.0000
```

Peak list (12 most intense, 2θ from 10° to 90°, sorted by position)
2θ 28.73, rel. 60; 2θ 33.63, rel. 14; 2θ 33.81, rel. 28; 2θ 39.09, rel. 37; 2θ 39.31, rel. 17; 2θ 40.03, rel. 51; 2θ 40.18, rel. 100; 2θ 42.93, rel. 41; 2θ 59.45, rel. 21; 2θ 64.58, rel. 23; 2θ 71.12, rel. 17; 2θ 86.80, rel. 20

***

(10)
Structure and theoretical powder diffractogram of V2Ge6W (a DFT-relaxed cell (PBE, Alexandria); Cu Kα (λ = 1.5418 Å)).

Cell and atoms:
```
data_V2Ge6W
_space_group_name_H-M_alt 'C 2 2 2'
_space_group_IT_number 21
_cell_length_a 4.8466
_cell_length_b 8.3868
_cell_length_c 6.6514
_cell_angle_alpha 90.00
_cell_angle_beta 90.00
_cell_angle_gamma 90.00
loop_
_space_group_symop_operation_xyz
'x,y,z'
'-x,-y,z'
'x,-y,-z'
'-x,y,-z'
'x+1/2,y+1/2,z'
'-x+1/2,-y+1/2,z'
'x+1/2,-y+1/2,-z'
'-x+1/2,y+1/2,-z'
loop_
_atom_site_label
_atom_site_fract_x
_atom_site_fract_y
_atom_site_fract_z
V1 0.2500 0.2500 0.1677
Ge1 0.0000 0.3327 0.5000
Ge2 0.2462 0.4155 0.8369
W1 0.0000 0.0000 0.5000
```

Peak list (12 most intense, 2θ from 10° to 90°, sorted by position)
2θ 13.31, rel. 14; 2θ 21.18, rel. 14; 2θ 25.09, rel. 15; 2θ 37.13, rel. 18; 2θ 39.60, rel. 100; 2θ 40.69, rel. 33; 2θ 46.37, rel. 67; 2θ 68.44, rel. 19; 2θ 68.57, rel. 19; 2θ 73.43, rel. 12; 2θ 79.07, rel. 14; 2θ 82.78, rel. 11

***

(11)
Structure and theoretical powder diffractogram of Cr2InMoRh (a DFT-relaxed cell (PBE, Alexandria); Cu Kα (λ = 1.5418 Å)).

Cell and atoms:
```
data_Cr2InMoRh
_space_group_name_H-M_alt 'P 4/m m m'
_space_group_IT_number 123
_space_group_name_Hall '-P 4 2'
_cell_length_a 4.6040
_cell_length_b 4.6040
_cell_length_c 4.6547
_cell_angle_alpha 90.00
_cell_angle_beta 90.00
_cell_angle_gamma 90.00
loop_
_atom_site_label
_atom_site_fract_x
_atom_site_fract_y
_atom_site_fract_z
Cr1 0.0000 0.5000 0.0000
In1 0.0000 0.0000 0.0000
Mo1 0.5000 0.5000 0.5000
Rh1 0.0000 0.0000 0.5000
```

Peak list (12 most intense, 2θ from 10° to 90°, sorted by position)
2θ 19.28, rel. 52; 2θ 27.24, rel. 35; 2θ 27.40, rel. 64; 2θ 33.59, rel. 64; 2θ 38.69, rel. 52; 2θ 39.13, rel. 100; 2θ 48.06, rel. 28; 2θ 56.20, rel. 66; 2θ 56.54, rel. 32; 2θ 63.93, rel. 15; 2θ 67.40, rel. 15; 2θ 70.61, rel. 32

***

(12)
Structure and theoretical powder diffractogram of HoMnB14 (a DFT-relaxed cell (PBE, Alexandria); Cu Kα (λ = 1.5418 Å)).

Cell and atoms:
```
data_HoMnB14
_space_group_name_H-M_alt 'I m m a'
_space_group_IT_number 74
_space_group_name_Hall '-I 2b 2'
_cell_length_a 5.8538
_cell_length_b 10.6811
_cell_length_c 8.2283
_cell_angle_alpha 90.00
_cell_angle_beta 90.00
_cell_angle_gamma 90.00
loop_
_atom_site_label
_atom_site_fract_x
_atom_site_fract_y
_atom_site_fract_z
Ho1 0.0000 0.2500 0.1279
Mn1 0.2500 0.2500 0.7500
B1 0.0000 0.0845 0.6706
B2 0.0000 0.1303 0.8708
B3 0.0000 0.1669 0.4684
B4 0.1598 0.0621 0.3385
B5 0.2481 0.0781 0.5470
```

Peak list (12 most intense, 2θ from 10° to 90°, sorted by position)
2θ 13.58, rel. 25; 2θ 16.60, rel. 100; 2θ 18.60, rel. 39; 2θ 25.03, rel. 72; 2θ 27.79, rel. 86; 2θ 33.56, rel. 83; 2θ 33.74, rel. 30; 2θ 36.74, rel. 59; 2θ 40.04, rel. 34; 2θ 41.42, rel. 60; 2θ 41.56, rel. 25; 2θ 54.50, rel. 24